Simulated X-ray powder pattern
Compound: FeCo7
Radiation: Cu Kα
Structure: a DFT-relaxed cell (PBE, Alexandria)
Kinematic intensities with the Lorentz-polarization factor, no thermal factor.

Most intense lines, 2θ = 10–90°, sorted by position:
d [Å], intensity, index
1.995, 100, 2 2 0
1.411, 15, 4 0 0
1.152, 29, 4 2 2

Cell and atoms:
```
16
Lattice="5.6437 0.0000 0.0000 0.0000 5.6437 0.0000 0.0000 0.0000 5.6437" Properties=species:S:1:pos:R:3 pbc="T T T"
Fe 0.0000 0.0000 0.0000
Fe 2.8219 2.8219 2.8219
Co 0.0000 0.0000 2.8219
Co 0.0000 2.8219 0.0000
Co 0.0000 2.8219 2.8219
Co 1.4109 1.4109 1.4109
Co 1.4109 1.4109 4.2328
Co 1.4109 4.2328 1.4109
Co 1.4109 4.2328 4.2328
Co 2.8219 0.0000 0.0000
Co 2.8219 0.0000 2.8219
Co 2.8219 2.8219 0.0000
Co 4.2328 1.4109 1.4109
Co 4.2328 1.4109 4.2328
Co 4.2328 4.2328 1.4109
Co 4.2328 4.2328 4.2328
```